1.
Structure and simulated powder diffraction line list of Tm2Ti2O7 (the PBE geometry in the Materials Project; Cu Kα, 1.54184 Å).
Neutral-atom scattering factors, no anomalous dispersion.

Main lines, by intensity (2θ from 10° to 90°):
2θ/deg	Rel. int.	hkl
31.1	100	2 1 1
34.0	62	0 2 0
21.7	58	0 1 2
29.5	39	2 1 0
48.7	34	4 0 -1
27.4	30	0 0 4
32.3	26	0 1 4
34.1	25	2 0 3

Atomic structure:
Cell: 7.4760 5.2829 13.1474 Å, 90.00 98.31 90.00°
Space group P2_1 (No. 4)
Inequivalent atoms, fractional coordinates:
Tm  0.1412  0.0000  0.0609 [2 per cell]
Tm  0.2349  0.4173  0.4264 [2 per cell]
Tm  0.2864  0.8876  0.6361 [2 per cell]
Tm  0.3555  0.4200  0.8858 [2 per cell]
Ti  0.0300  0.4111  0.6218 [2 per cell]
Ti  0.0696  0.9238  0.8210 [2 per cell]
Ti  0.4096  0.4350  0.1712 [2 per cell]
Ti  0.4693  0.9099  0.3741 [2 per cell]
O  0.0065  0.0708  0.6778 [2 per cell]
O  0.0652  0.6868  0.5257 [2 per cell]
O  0.0718  0.2062  0.9087 [2 per cell]
O  0.1327  0.5933  0.7338 [2 per cell]
O  0.1428  0.7063  0.9320 [2 per cell]
O  0.1720  0.3053  0.1828 [2 per cell]
O  0.2207  0.0022  0.3810 [2 per cell]
O  0.2717  0.2862  0.5884 [2 per cell]
O  0.3265  0.0283  0.8046 [2 per cell]
O  0.3633  0.7423  0.1179 [2 per cell]
O  0.4135  0.2294  0.0509 [2 per cell]
O  0.4205  0.5694  0.3235 [2 per cell]
O  0.4490  0.6838  0.5272 [2 per cell]
O  0.4820  0.5952  0.7366 [2 per cell]

---

2.
Structure and simulated powder diffraction line list of Sr2TaInO6 (the PBE geometry in the Materials Project; Cu Kα, 1.54184 Å).
Neutral-atom scattering factors, no anomalous dispersion.

Main lines, by intensity (2θ from 10° to 90°):
2θ/deg	Rel. int.	hkl
30.6	100	2 2 0
54.4	40	4 2 2
43.8	31	4 0 0
88.6	22	6 4 2
63.7	19	4 4 0
72.3	18	6 2 0
21.5	15	2 0 0
80.6	6	4 4 4

Atomic structure:
Cell: 8.2611 8.2611 8.2611 Å, 90.00 90.00 90.00°
Space group Fm-3m (No. 225)
Inequivalent atoms, fractional coordinates:
Sr  0.2500  0.2500  0.2500 [8 per cell]
Ta  0.0000  0.0000  0.0000 [4 per cell]
In  0.0000  0.0000  0.5000 [4 per cell]
O  0.0000  0.0000  0.2407 [24 per cell]

---

3.
Structure and simulated powder diffraction line list of CeOs2 (the PBE geometry in the Materials Project; Cu Kα, 1.54184 Å).
Neutral-atom scattering factors, no anomalous dispersion.

Main lines, by intensity (2θ from 10° to 90°):
2θ/deg	Rel. int.	hkl
40.2	100	2 0 1
39.2	93	1 1 2
35.8	65	1 0 3
44.0	32	2 0 2
65.9	31	2 0 5
70.3	29	2 2 0
61.3	24	2 1 3
63.7	23	3 0 2

Atomic structure:
Cell: 5.3570 5.3570 8.9475 Å, 90.00 90.00 120.00°
Space group P6_3/mmc (No. 194)
Inequivalent atoms, fractional coordinates:
Ce  0.3333  0.6667  0.0708 [4 per cell]
Os  0.0000  0.0000  0.0000 [2 per cell]
Os  0.1705  0.3411  0.7500 [6 per cell]

---

4.
Structure and simulated powder diffraction line list of KSO2F (the PBE geometry in the Materials Project; Cu Kα, 1.54184 Å).
Neutral-atom scattering factors, no anomalous dispersion.

Main lines, by intensity (2θ from 10° to 90°):
2θ/deg	Rel. int.	hkl
25.3	100	1 1 -1
26.3	78	0 0 2
30.5	51	0 1 2
25.1	46	1 1 0
38.2	41	2 0 -1
31.6	33	1 1 -2
30.7	30	0 2 0
41.4	28	1 2 1

Atomic structure:
Cell: 4.7090 5.8160 7.1513 Å, 90.00 108.35 90.00°
Space group P2_1/m (No. 11)
Inequivalent atoms, fractional coordinates:
K  0.1565  0.2500  0.2894 [2 per cell]
S  0.3994  0.2500  0.8154 [2 per cell]
O  0.3345  0.0398  0.6924 [4 per cell]
F  0.1910  0.7500  0.1170 [2 per cell]